Record 1
For Mn4Ni15Pd, a GGA-PBE-relaxed structure gives the theoretical XRD peak list in this record (λ = 1.5418 Å (Cu Kα)).
Kinematic intensities with the Lorentz-polarization factor, no thermal factor.

Peak list (7 most intense, 2θ = 5–70°, sorted by position)
two_theta  Rel. int.
9.85  8
25.37  7
26.81  6
40.93  7
43.75  1000
50.86  153
51.01  311

Structure:
Cell lengths 3.581, 3.581, 17.954 Å; angles 90.00, 90.00, 90.00 degrees
Atoms (fractional coordinates):
Mn 0.000 0.000 0.099
Mn 0.000 0.000 0.297
Mn 0.000 0.000 0.703
Mn 0.000 0.000 0.901
Ni 0.000 0.500 0.000
Ni 0.000 0.500 0.198
Ni 0.000 0.500 0.396
Ni 0.000 0.500 0.604
Ni 0.000 0.500 0.802
Ni 0.500 0.000 0.000
Ni 0.500 0.000 0.198
Ni 0.500 0.000 0.396
Ni 0.500 0.000 0.604
Ni 0.500 0.000 0.802
Ni 0.500 0.500 0.099
Ni 0.500 0.500 0.297
Ni 0.500 0.500 0.500
Ni 0.500 0.500 0.703
Ni 0.500 0.500 0.901
Pd 0.000 0.000 0.500


Record 2
For TbPr2Mg, a GGA-PBE-relaxed structure gives the theoretical XRD peak list in this record (λ = 1.5418 Å (Cu Kα)).
Kinematic intensities with the Lorentz-polarization factor, no thermal factor.

Peak list (10 most intense, 2θ = 5–70°, sorted by position)
two_theta  Rel. int.
7.61  719
29.12  621
30.81  454
31.46  1000
33.95  882
38.78  243
46.73  203
50.76  340
53.53  202
60.56  395

Structure:
Cell lengths 6.225, 3.601, 11.792 Å; angles 90.00, 100.07, 90.00 degrees
Atoms (fractional coordinates):
Tb 0.000 0.000 0.000
Tb 0.500 0.500 0.000
Pr 0.081 0.500 0.744
Pr 0.417 0.000 0.253
Pr 0.581 0.000 0.744
Pr 0.917 0.500 0.253
Mg 0.333 0.500 0.499
Mg 0.833 0.000 0.499


Record 3
For LiInTe, a GGA-PBE-relaxed structure gives the theoretical XRD peak list in this record (λ = 1.5418 Å (Cu Kα)).
Kinematic intensities with the Lorentz-polarization factor, no thermal factor.

Peak list (10 most intense, 2θ = 5–70°, sorted by position)
two_theta  Rel. int.
11.51  372
19.87  231
25.81  1000
28.19  238
30.54  390
32.08  254
33.48  195
35.03  272
36.79  285
38.10  343

Structure:
Cell lengths 8.543, 8.543, 5.988 Å; angles 90.00, 90.00, 51.77 degrees
Atoms (fractional coordinates):
Li 0.004 0.496 0.250
Li 0.496 0.004 0.750
Li 0.504 0.996 0.250
Li 0.996 0.504 0.750
In 0.141 0.859 0.298
In 0.359 0.641 0.798
In 0.641 0.359 0.202
In 0.859 0.141 0.702
Te 0.153 0.153 0.000
Te 0.347 0.347 0.500
Te 0.653 0.653 0.500
Te 0.847 0.847 0.000


Record 4
For ZnGa6Hg, a GGA-PBE-relaxed structure gives the theoretical XRD peak list in this record (λ = 1.5418 Å (Cu Kα)).
Kinematic intensities with the Lorentz-polarization factor, no thermal factor.

Peak list (10 most intense, 2θ = 5–70°, sorted by position)
two_theta  Rel. int.
16.83  192
29.38  117
34.04  1000
34.63  470
41.22  235
44.34  453
44.48  111
45.36  238
54.00  156
67.37  109

Structure:
Cell lengths 5.438, 13.182, 8.762 Å; angles 90.00, 90.51, 90.00 degrees
Atoms (fractional coordinates):
Zn 0.000 0.203 0.000
Zn 0.000 0.797 0.000
Zn 0.251 0.000 0.502
Zn 0.749 0.000 0.498
Ga 0.000 0.000 0.000
Ga 0.000 0.500 0.000
Ga 0.050 0.120 0.722
Ga 0.050 0.880 0.722
Ga 0.135 0.346 0.792
Ga 0.135 0.654 0.792
Ga 0.250 0.258 0.499
Ga 0.250 0.742 0.499
Ga 0.353 0.385 0.254
Ga 0.353 0.615 0.254
Ga 0.448 0.117 0.271
Ga 0.448 0.883 0.271
Ga 0.500 0.000 0.000
Ga 0.500 0.500 0.000
Ga 0.552 0.117 0.729
Ga 0.552 0.883 0.729
Ga 0.647 0.385 0.746
Ga 0.647 0.615 0.746
Ga 0.750 0.258 0.501
Ga 0.750 0.742 0.501
Ga 0.865 0.346 0.208
Ga 0.865 0.654 0.208
Ga 0.950 0.120 0.278
Ga 0.950 0.880 0.278
Hg 0.245 0.500 0.562
Hg 0.500 0.246 0.000
Hg 0.500 0.754 0.000
Hg 0.755 0.500 0.438


Record 5
For Ba5Au6, a GGA-PBE-relaxed structure gives the theoretical XRD peak list in this record (λ = 1.5418 Å (Cu Kα)).
Kinematic intensities with the Lorentz-polarization factor, no thermal factor.

Peak list (10 most intense, 2θ = 5–70°, sorted by position)
two_theta  Rel. int.
20.28  223
28.14  1000
28.91  281
32.85  341
34.64  491
36.23  549
37.24  369
39.76  305
53.74  286
55.60  233

Structure:
Cell lengths 17.042, 17.042, 4.534 Å; angles 90.00, 90.00, 163.71 degrees
Atoms (fractional coordinates):
Ba 0.000 0.000 0.000
Ba 0.199 0.801 0.500
Ba 0.386 0.614 0.000
Ba 0.614 0.386 0.000
Ba 0.801 0.199 0.500
Au 0.094 0.906 0.500
Au 0.279 0.721 0.000
Au 0.458 0.542 0.500
Au 0.542 0.458 0.500
Au 0.721 0.279 0.000
Au 0.906 0.094 0.500


Record 6
For Li3MnGa6, a GGA-PBE-relaxed structure gives the theoretical XRD peak list in this record (λ = 1.5418 Å (Cu Kα)).
Kinematic intensities with the Lorentz-polarization factor, no thermal factor.

Peak list (10 most intense, 2θ = 5–70°, sorted by position)
two_theta  Rel. int.
12.63  1000
24.18  804
29.72  490
30.46  892
36.79  546
39.01  691
39.52  704
40.85  701
42.70  735
47.56  425

Structure:
Cell lengths 4.976, 4.976, 7.293 Å; angles 101.88, 101.88, 83.91 degrees
Atoms (fractional coordinates):
Li 0.000 0.000 0.000
Li 0.226 0.226 0.745
Li 0.774 0.774 0.255
Mn 0.500 0.500 0.500
Ga 0.080 0.704 0.640
Ga 0.296 0.920 0.360
Ga 0.392 0.392 0.125
Ga 0.608 0.608 0.875
Ga 0.704 0.080 0.640
Ga 0.920 0.296 0.360


Record 7
For Na2B3C, a GGA-PBE-relaxed structure gives the theoretical XRD peak list in this record (λ = 1.5418 Å (Cu Kα)).
Kinematic intensities with the Lorentz-polarization factor, no thermal factor.

Peak list (10 most intense, 2θ = 5–70°, sorted by position)
two_theta  Rel. int.
20.55  19
35.38  206
36.06  81
41.26  1000
41.83  907
55.88  113
56.36  47
63.06  91
64.40  170
68.38  18

Structure:
Cell lengths 9.117, 9.117, 5.789 Å; angles 98.78, 98.78, 142.98 degrees
Atoms (fractional coordinates):
Na 0.124 0.874 0.501
Na 0.124 0.876 0.000
Na 0.372 0.625 0.502
Na 0.374 0.624 0.000
Na 0.624 0.374 0.000
Na 0.625 0.372 0.502
Na 0.874 0.124 0.501
Na 0.876 0.124 0.000
B 0.074 0.573 0.143
B 0.090 0.590 0.680
B 0.178 0.178 0.342
B 0.178 0.178 0.842
B 0.415 0.916 0.342
B 0.573 0.074 0.143
B 0.590 0.090 0.680
B 0.641 0.641 0.325
B 0.641 0.641 0.825
B 0.841 0.841 0.167
B 0.841 0.841 0.667
B 0.916 0.415 0.342
C 0.332 0.332 0.164
C 0.332 0.332 0.664
C 0.412 0.913 0.834
C 0.913 0.412 0.834


Record 8
For InRuCl2, a GGA-PBE-relaxed structure gives the theoretical XRD peak list in this record (λ = 1.5418 Å (Cu Kα)).
Kinematic intensities with the Lorentz-polarization factor, no thermal factor.

Peak list (10 most intense, 2θ = 5–70°, sorted by position)
two_theta  Rel. int.
14.21  1000
28.63  219
30.27  138
33.83  184
35.57  201
37.99  256
39.94  115
41.98  137
43.56  95
46.63  125

Structure:
Cell lengths 10.100, 3.312, 6.803 Å; angles 90.00, 113.61, 90.00 degrees
Atoms (fractional coordinates):
In 0.000 0.000 0.000
In 0.500 0.500 0.000
Ru 0.229 0.500 0.000
Ru 0.729 0.000 0.000
Cl 0.165 0.000 0.717
Cl 0.318 0.000 0.282
Cl 0.665 0.500 0.717
Cl 0.818 0.500 0.282


Record 9
For Pr4AgSe5, a GGA-PBE-relaxed structure gives the theoretical XRD peak list in this record (λ = 1.5418 Å (Cu Kα)).
Kinematic intensities with the Lorentz-polarization factor, no thermal factor.

Peak list (10 most intense, 2θ = 5–70°, sorted by position)
two_theta  Rel. int.
25.58  99
26.23  30
29.81  1000
42.24  388
43.08  348
50.40  31
52.55  201
53.97  55
61.92  117
69.61  171

Structure:
Cell lengths 17.169, 17.169, 17.169 Å; angles 14.32, 14.32, 14.32 degrees
Atoms (fractional coordinates):
Pr 0.103 0.103 0.103
Pr 0.299 0.299 0.299
Pr 0.701 0.701 0.701
Pr 0.897 0.897 0.897
Ag 0.500 0.500 0.500
Se 0.000 0.000 0.000
Se 0.198 0.198 0.198
Se 0.402 0.402 0.402
Se 0.598 0.598 0.598
Se 0.802 0.802 0.802


Record 10
For BaNaPtO4, a GGA-PBE-relaxed structure gives the theoretical XRD peak list in this record (λ = 1.5418 Å (Cu Kα)).
Kinematic intensities with the Lorentz-polarization factor, no thermal factor.

Peak list (10 most intense, 2θ = 5–70°, sorted by position)
two_theta  Rel. int.
16.87  179
19.50  883
27.71  1000
34.11  299
39.59  129
44.50  400
49.01  417
57.24  175
61.06  205
64.76  180

Structure:
Cell lengths 6.438, 6.438, 6.438 Å; angles 60.00, 60.00, 60.00 degrees
Atoms (fractional coordinates):
Ba 0.000 0.000 0.000
Na 0.750 0.750 0.750
Pt 0.500 0.500 0.500
O 0.140 0.620 0.620
O 0.620 0.140 0.620
O 0.620 0.620 0.140
O 0.620 0.620 0.620


Record 11
For Pm4ErSc3, a GGA-PBE-relaxed structure gives the theoretical XRD peak list in this record (λ = 1.5418 Å (Cu Kα)).
Kinematic intensities with the Lorentz-polarization factor, no thermal factor.

Peak list (10 most intense, 2θ = 5–70°, sorted by position)
two_theta  Rel. int.
12.38  147
25.02  197
28.97  218
32.20  352
33.24  1000
33.59  438
43.86  151
51.85  177
58.07  196
62.36  203

Structure:
Cell lengths 11.120, 7.151, 6.081 Å; angles 90.00, 90.00, 90.00 degrees
Atoms (fractional coordinates):
Pm 0.000 0.114 0.000
Pm 0.000 0.636 0.986
Pm 0.245 0.633 0.339
Pm 0.255 0.367 0.839
Pm 0.500 0.364 0.486
Pm 0.500 0.886 0.500
Pm 0.745 0.367 0.839
Pm 0.755 0.633 0.339
Er 0.000 0.367 0.494
Er 0.500 0.633 0.994
Sc 0.000 0.883 0.502
Sc 0.246 0.116 0.333
Sc 0.254 0.884 0.833
Sc 0.500 0.117 0.002
Sc 0.746 0.884 0.833
Sc 0.754 0.116 0.333


Record 12
For Cd11AgHg17, a GGA-PBE-relaxed structure gives the theoretical XRD peak list in this record (λ = 1.5418 Å (Cu Kα)).
Kinematic intensities with the Lorentz-polarization factor, no thermal factor.

Peak list (10 most intense, 2θ = 5–70°, sorted by position)
two_theta  Rel. int.
29.15  311
32.61  325
32.75  562
33.03  512
34.19  1000
34.65  318
35.06  849
35.20  493
36.13  374
39.77  285

Structure:
Cell lengths 9.201, 9.348, 10.485 Å; angles 102.42, 113.97, 107.35 degrees
Atoms (fractional coordinates):
Cd 0.000 0.000 0.000
Cd 0.000 0.225 0.821
Cd 0.255 0.669 0.631
Cd 0.328 0.879 0.461
Cd 0.427 0.440 0.598
Cd 0.441 0.042 0.804
Cd 0.627 0.434 0.398
Cd 0.628 0.646 0.212
Cd 0.765 0.005 0.443
Cd 0.824 0.621 0.751
Cd 0.833 0.236 0.017
Ag 0.403 0.808 0.202
Hg 0.031 0.574 0.035
Hg 0.065 0.220 0.320
Hg 0.181 0.157 0.624
Hg 0.210 0.855 0.906
Hg 0.289 0.546 0.901
Hg 0.335 0.552 0.325
Hg 0.352 0.103 0.293
Hg 0.359 0.258 0.047
Hg 0.606 0.429 0.929
Hg 0.632 0.069 0.154
Hg 0.632 0.778 0.923
Hg 0.635 0.228 0.652
Hg 0.677 0.870 0.659
Hg 0.921 0.499 0.300
Hg 0.941 0.378 0.575
Hg 0.953 0.794 0.558
Hg 0.970 0.841 0.235